This entry pairs a crystal structure of AlAgCl4 with its calculated XRD peak list. Radiation: λ = 1.5418 Å (Cu Kα). Structure: a PBE-relaxed structure.

Structure:
a = 6.585 Å, b = 6.589 Å, c = 10.748 Å
α = 90.00°, β = 90.00°, γ = 90.00°
Fractional coordinates of all 12 atoms:
Al (0.000, 0.000, 0.000)
Al (0.500, 0.000, 0.500)
Ag (0.000, 0.000, 0.500)
Ag (0.000, 0.500, 0.000)
Cl (0.187, 0.197, 0.886)
Cl (0.187, 0.803, 0.114)
Cl (0.304, 0.190, 0.387)
Cl (0.304, 0.810, 0.613)
Cl (0.696, 0.190, 0.613)
Cl (0.696, 0.810, 0.387)
Cl (0.813, 0.197, 0.114)
Cl (0.813, 0.803, 0.886)

Principal peaks in the range 5° ≤ 2θ ≤ 70°, low angle first:
2θ/deg, I (rel.)
13.4, 81
15.8, 100
16.5, 67
21.3, 38
25.3, 60
31.5, 50
31.9, 30
34.7, 32
38.7, 29
43.5, 46



This entry pairs a crystal structure of AlCo2Ag2 with its calculated XRD peak list. Radiation: λ = 1.5418 Å (Cu Kα). Structure: a PBE-relaxed structure.

Structure:
a = 3.272 Å, b = 3.272 Å, c = 14.705 Å
α = 90.00°, β = 90.00°, γ = 90.00°
Fractional coordinates of all 10 atoms:
Al (0.000, 0.000, 0.000)
Al (0.500, 0.500, 0.500)
Co (0.000, 0.500, 0.250)
Co (0.000, 0.500, 0.750)
Co (0.500, 0.000, 0.250)
Co (0.500, 0.000, 0.750)
Ag (0.000, 0.000, 0.400)
Ag (0.000, 0.000, 0.600)
Ag (0.500, 0.500, 0.100)
Ag (0.500, 0.500, 0.900)

Principal peaks in the range 5° ≤ 2θ ≤ 70°, low angle first:
2θ/deg, I (rel.)
27.9, 100
32.9, 26
36.7, 39
38.9, 14
40.9, 71
41.3, 91
46.4, 78
56.2, 39
63.9, 17
69.0, 22